[1]
Starting from a structure optimized by DFT (PBE), the powder X-ray diffraction pattern of SmGaCo was computed for Cu Kα X-rays.

Peak list (8 most intense, 2θ = 15–90°, in order of falling intensity)
- 2.287 Å, rel. 100, (1 3 0)
- 2.771 Å, rel. 79, (2 0 0)
- 2.421 Å, rel. 59, (1 1 2)
- 3.152 Å, rel. 44, (0 2 1)
- 1.764 Å, rel. 41, (2 2 2)
- 2.881 Å, rel. 28, (0 0 2)
- 2.081 Å, rel. 27, (2 2 1)
- 1.409 Å, rel. 22, (1 5 1)

Structural model:
```
data_SmGaCo
_space_group_name_H-M_alt 'C m c m'
_space_group_IT_number 63
_space_group_name_Hall '-C 2c 2'
_cell_length_a 5.543
_cell_length_b 7.530
_cell_length_c 5.762
_cell_angle_alpha 90.00
_cell_angle_beta 90.00
_cell_angle_gamma 90.00
loop_
_atom_site_label
_atom_site_type_symbol
_atom_site_fract_x
_atom_site_fract_y
_atom_site_fract_z
Sm1 Sm 0.000 0.158 0.250
Ga1 Ga 0.000 0.239 0.750
Co1 Co 0.000 0.500 0.000
```



[2]
Starting from a structure optimized by DFT (PBE), the powder X-ray diffraction pattern of SmGa7Co5 was computed for Cu Kα X-rays.

Peak list (8 most intense, 2θ = 15–90°, in order of falling intensity)
- 2.161 Å, rel. 100, (1 3 2)
- 2.191 Å, rel. 99, (1 2 3)
- 2.166 Å, rel. 98, (2 0 2)
- 1.932 Å, rel. 96, (2 2 2)
- 2.233 Å, rel. 87, (0 0 4)
- 2.143 Å, rel. 82, (2 2 0)
- 2.137 Å, rel. 76, (0 4 0)
- 3.092 Å, rel. 59, (1 1 2)

Structural model:
```
data_SmGa7Co5
_space_group_name_H-M_alt 'I m m 2'
_space_group_IT_number 44
_cell_length_a 4.955
_cell_length_b 8.547
_cell_length_c 8.931
_cell_angle_alpha 90.00
_cell_angle_beta 90.00
_cell_angle_gamma 90.00
loop_
_space_group_symop_operation_xyz
'x,y,z'
'-x,-y,z'
'-x,y,z'
'x,-y,z'
'x+1/2,y+1/2,z+1/2'
'-x+1/2,-y+1/2,z+1/2'
'-x+1/2,y+1/2,z+1/2'
'x+1/2,-y+1/2,z+1/2'
loop_
_atom_site_label
_atom_site_type_symbol
_atom_site_fract_x
_atom_site_fract_y
_atom_site_fract_z
Sm1 Sm 0.000 0.000 0.000
Ga1 Ga 0.000 0.262 0.505
Ga2 Ga 0.000 0.500 0.236
Ga3 Ga 0.249 0.265 0.753
Co1 Co 0.000 0.000 0.362
Co2 Co 0.000 0.000 0.646
Co3 Co 0.000 0.355 0.994
Co4 Co 0.000 0.500 0.717
```